# 1
K2Ca4Si8O21: theoretical X-ray diffraction stick pattern (Cu Ka), based on a PBE-relaxed structure.
Lines closer than 0.1° are merged.

Crystal structure
```
data_K2Ca4Si8O21
_chemical_formula_sum 'K2 Ca4 Si8 O21'
_cell_length_a 6.8832
_cell_length_b 7.1939
_cell_length_c 11.3327
_cell_angle_alpha 96.69
_cell_angle_beta 105.32
_cell_angle_gamma 109.13
_symmetry_space_group_name_H-M 'P 1'
_symmetry_Int_Tables_number 1
_symmetry_space_group_name_Hall 'P 1'
loop_
_atom_site_label
_atom_site_fract_x
_atom_site_fract_y
_atom_site_fract_z
_atom_site_occupancy
K1 0.2395 0.2078 0.4304 1
K2 0.7605 0.7922 0.5696 1
Ca1 0.1290 0.7669 0.9573 1
Ca2 0.1624 0.2852 0.8170 1
Ca3 0.8376 0.7148 0.1830 1
Ca4 0.8710 0.2331 0.0427 1
Si1 0.1629 0.6996 0.4708 1
Si2 0.3245 0.5985 0.2549 1
Si3 0.3717 0.9704 0.7427 1
Si4 0.4024 0.2610 0.1133 1
Si5 0.5976 0.7390 0.8867 1
Si6 0.6283 0.0296 0.2573 1
Si7 0.6755 0.4015 0.7451 1
Si8 0.8371 0.3004 0.5292 1
O1 0.0000 0.5000 0.5000 1
O2 0.0323 0.8134 0.3911 1
O3 0.1108 0.5883 0.1489 1
O4 0.1576 0.9149 0.7827 1
O5 0.1745 0.1932 0.0026 1
O6 0.3127 0.6195 0.3997 1
O7 0.3458 0.8441 0.6050 1
O8 0.3740 0.6239 0.9122 1
O9 0.3835 0.3952 0.2379 1
O10 0.4131 0.0452 0.1550 1
O11 0.4516 0.2151 0.7401 1
O12 0.5484 0.7849 0.2599 1
O13 0.5869 0.9548 0.8450 1
O14 0.6165 0.6048 0.7621 1
O15 0.6260 0.3761 0.0878 1
O16 0.6542 0.1559 0.3950 1
O17 0.6873 0.3805 0.6003 1
O18 0.8255 0.8068 0.9974 1
O19 0.8424 0.0851 0.2173 1
O20 0.8892 0.4117 0.8511 1
O21 0.9677 0.1866 0.6089 1
```

Peak list (6 most intense, 5 to 70 degrees two-theta, most intense first)
2θ (°)	I (rel.)
28.2	100.0
25.4	71.2
28.4	65.4
25.7	50.3
21.8	47.0
26.9	46.5

# 2
K4CaUSi4O14: theoretical X-ray diffraction stick pattern (Cu Ka), based on a PBE-relaxed structure.
Lines closer than 0.1° are merged.

Crystal structure
```
data_K4CaUSi4O14
_chemical_formula_sum 'K8 Ca2 U2 Si8 O28'
_cell_length_a 9.4770
_cell_length_b 9.4770
_cell_length_c 8.5048
_cell_angle_alpha 90.00
_cell_angle_beta 90.00
_cell_angle_gamma 90.00
_symmetry_space_group_name_H-M 'P 1'
_symmetry_Int_Tables_number 1
_symmetry_space_group_name_Hall 'P 1'
loop_
_atom_site_label
_atom_site_fract_x
_atom_site_fract_y
_atom_site_fract_z
_atom_site_occupancy
K1 0.1553 0.3447 0.2500 1
K2 0.2137 0.2863 0.7500 1
K3 0.2863 0.7863 0.2500 1
K4 0.3447 0.8447 0.7500 1
K5 0.6553 0.1553 0.7500 1
K6 0.7137 0.2137 0.2500 1
K7 0.7863 0.7137 0.7500 1
K8 0.8447 0.6553 0.2500 1
Ca1 0.0000 0.0000 0.0000 1
Ca2 0.5000 0.5000 0.5000 1
U1 0.0000 0.0000 0.5000 1
U2 0.5000 0.5000 0.0000 1
Si1 0.1188 0.6194 0.5556 1
Si2 0.1194 0.6188 0.9444 1
Si3 0.3812 0.1194 0.0556 1
Si4 0.3806 0.1188 0.4444 1
Si5 0.6188 0.8806 0.0556 1
Si6 0.6194 0.8812 0.4444 1
Si7 0.8812 0.3806 0.5556 1
Si8 0.8806 0.3812 0.9444 1
O1 0.0000 0.0000 0.2793 1
O2 0.0000 0.0000 0.7207 1
O3 0.0000 0.5000 0.0009 1
O4 0.0000 0.5000 0.4991 1
O5 0.0538 0.7714 0.4961 1
O6 0.0856 0.7698 0.0172 1
O7 0.1201 0.6201 0.7500 1
O8 0.2286 0.0538 0.5039 1
O9 0.2302 0.0856 0.9828 1
O10 0.2698 0.5856 0.4828 1
O11 0.2714 0.5538 0.0039 1
O12 0.3799 0.1201 0.2500 1
O13 0.4144 0.2698 0.5172 1
O14 0.4462 0.2714 0.9961 1
O15 0.5000 0.0000 0.5009 1
O16 0.5000 0.0000 0.9991 1
O17 0.5000 0.5000 0.2207 1
O18 0.5000 0.5000 0.7793 1
O19 0.5538 0.7286 0.9961 1
O20 0.5856 0.7302 0.5172 1
O21 0.6201 0.8799 0.2500 1
O22 0.7286 0.4462 0.0039 1
O23 0.7302 0.4144 0.4828 1
O24 0.7698 0.9144 0.9828 1
O25 0.7714 0.9462 0.5039 1
O26 0.8799 0.3799 0.7500 1
O27 0.9144 0.2302 0.0172 1
O28 0.9462 0.2286 0.4961 1
```

Peak list (6 most intense, 5 to 70 degrees two-theta, most intense first)
2θ (°)	I (rel.)
14.0	100.0
29.8	95.9
28.2	68.9
23.5	58.5
13.2	42.6
18.7	34.7

# 3
K2Ca4USi4O16: theoretical X-ray diffraction stick pattern (Cu Ka), based on a PBE-relaxed structure.
Lines closer than 0.1° are merged.

Crystal structure
```
data_K2Ca4USi4O16
_chemical_formula_sum 'K2 Ca4 U1 Si4 O16'
_cell_length_a 6.7223
_cell_length_b 6.7657
_cell_length_c 9.8106
_cell_angle_alpha 98.67
_cell_angle_beta 93.17
_cell_angle_gamma 112.43
_symmetry_space_group_name_H-M 'P 1'
_symmetry_Int_Tables_number 1
_symmetry_space_group_name_Hall 'P 1'
loop_
_atom_site_label
_atom_site_fract_x
_atom_site_fract_y
_atom_site_fract_z
_atom_site_occupancy
K1 0.1717 0.3216 0.0448 1
K2 0.8283 0.6784 0.9552 1
Ca1 0.2417 0.4838 0.4282 1
Ca2 0.2744 0.0318 0.6134 1
Ca3 0.7256 0.9682 0.3866 1
Ca4 0.7583 0.5162 0.5718 1
U1 0.5000 0.0000 0.0000 1
Si1 0.1741 0.9151 0.2880 1
Si2 0.2541 0.5226 0.7341 1
Si3 0.7459 0.4774 0.2659 1
Si4 0.8259 0.0849 0.7120 1
O1 0.0610 0.2962 0.7615 1
O2 0.1257 0.1051 0.3856 1
O3 0.1457 0.6424 0.6386 1
O4 0.2444 0.9742 0.1359 1
O5 0.3368 0.8430 0.3785 1
O6 0.3412 0.0738 0.8658 1
O7 0.3532 0.6544 0.8938 1
O8 0.4197 0.4475 0.6449 1
O9 0.5803 0.5525 0.3551 1
O10 0.6468 0.3456 0.1062 1
O11 0.6588 0.9262 0.1342 1
O12 0.6632 0.1570 0.6215 1
O13 0.7556 0.0258 0.8641 1
O14 0.8543 0.3576 0.3614 1
O15 0.8743 0.8949 0.6144 1
O16 0.9390 0.7038 0.2385 1
```

Peak list (6 most intense, 5 to 70 degrees two-theta, most intense first)
2θ (°)	I (rel.)
14.4	100.0
18.5	85.0
16.1	64.5
17.9	62.1
26.8	60.6
33.0	60.3

# 4
KCa2Ta3O10: theoretical X-ray diffraction stick pattern (Cu Ka), based on a PBE-relaxed structure.
Lines closer than 0.1° are merged.

Crystal structure
```
data_KCa2Ta3O10
_chemical_formula_sum 'K1 Ca2 Ta3 O10'
_cell_length_a 3.9409
_cell_length_b 15.2573
_cell_length_c 15.2573
_cell_angle_alpha 14.86
_cell_angle_beta 90.00
_cell_angle_gamma 90.00
_symmetry_space_group_name_H-M 'P 1'
_symmetry_Int_Tables_number 1
_symmetry_space_group_name_Hall 'P 1'
loop_
_atom_site_label
_atom_site_fract_x
_atom_site_fract_y
_atom_site_fract_z
_atom_site_occupancy
K1 0.0000 0.0000 0.0000 1
Ca1 0.0000 0.1662 0.1662 1
Ca2 0.0000 0.3181 0.3181 1
Ta1 0.5000 0.5999 0.5999 1
Ta2 0.5000 0.7416 0.7416 1
Ta3 0.5000 0.8831 0.8831 1
O1 0.0000 0.6134 0.6134 1
O2 0.0000 0.7410 0.7410 1
O3 0.0000 0.8690 0.8690 1
O4 0.5000 0.1134 0.1134 1
O5 0.5000 0.2410 0.2410 1
O6 0.5000 0.3688 0.3688 1
O7 0.5000 0.5403 0.5403 1
O8 0.5000 0.6760 0.6760 1
O9 0.5000 0.8064 0.8064 1
O10 0.5000 0.9421 0.9421 1
```

Peak list (6 most intense, 5 to 70 degrees two-theta, most intense first)
2θ (°)	I (rel.)
5.8	100.0
32.2	81.5
30.7	77.5
22.7	68.1
28.7	67.7
22.6	57.9